[1]
For RbRh, a structure optimized by DFT (GGA-PBE) gives the calculated X-ray powder pattern in this record (λ = 1.5418 Å (Cu Kα)).

Atomic structure:
a = 9.337 Å, b = 9.337 Å, c = 9.337 Å
α = 157.71°, β = 143.64°, γ = 43.06°
Fractional coordinates of all 6 atoms:
Rb  0.000  0.000  0.000
Rb  0.185  0.685  0.500
Rb  0.815  0.315  0.500
Rh  0.400  0.900  0.500
Rh  0.500  0.500  0.000
Rh  0.600  0.100  0.500

The 6 most intense peaks (2θ from 10° to 90°), sorted by position:
d (Å), I_rel
8.685, 450
2.984, 457
2.913, 592
2.893, 469
2.505, 1000
1.898, 299

[2]
For SmPu6Ge6, a structure optimized by DFT (GGA-PBE) gives the calculated X-ray powder pattern in this record (λ = 1.5418 Å (Cu Kα)).

Atomic structure:
a = 5.917 Å, b = 5.917 Å, c = 9.579 Å
α = 90.00°, β = 90.00°, γ = 118.34°
Fractional coordinates of all 13 atoms:
Sm  0.000  0.000  0.000
Pu  0.000  0.500  0.230
Pu  0.000  0.500  0.770
Pu  0.500  0.000  0.230
Pu  0.500  0.000  0.770
Pu  0.500  0.500  0.311
Pu  0.500  0.500  0.689
Ge  0.000  0.000  0.312
Ge  0.000  0.000  0.688
Ge  0.228  0.772  0.500
Ge  0.375  0.625  0.000
Ge  0.625  0.375  0.000
Ge  0.772  0.228  0.500

The 6 most intense peaks (2θ from 10° to 90°), sorted by position:
d (Å), I_rel
4.789, 708
2.703, 631
2.604, 960
2.540, 523
2.288, 1000
2.244, 391